Record 1
For LaNiSn, a PBE-relaxed structure gives the calculated powder XRD pattern in this record (λ = 1.5418 Å (Cu Kα)).
Peak positions follow from Bragg's law for the DFT cell and can differ from measured ones.

The 8 most intense peaks (2θ from 10° to 90°), in order of rising 2θ:
2θ/deg  I (rel.)  (hkl)
32.1  100  2 1 1
33.0  89  1 1 2
33.6  24  2 0 2
36.6  44  3 0 1
37.8  54  0 2 0
41.7  40  0 1 3
53.7  29  3 2 1
65.5  31  3 1 4

Cell and atoms:
Cell: 7.811 4.754 7.296 Å, 90.00 90.00 90.00°
Space group Pnma (No. 62)
Inequivalent atoms, fractional coordinates:
La: 0.031 0.250 0.185 [4 per cell]
Ni: 0.176 0.750 0.425 [4 per cell]
Sn: 0.177 0.250 0.601 [4 per cell]

Record 2
For LuSbO4, a PBE-relaxed structure gives the calculated powder XRD pattern in this record (λ = 1.5418 Å (Cu Kα)).
Peak positions follow from Bragg's law for the DFT cell and can differ from measured ones.

The 8 most intense peaks (2θ from 10° to 90°), in order of rising 2θ:
2θ/deg  I (rel.)  (hkl)
23.7  19  2 0 0
29.1  100  2 1 0
29.3  88  0 1 2
30.1  19  1 1 -2
33.6  30  0 2 0
35.4  20  2 1 -2
50.7  28  2 2 2
51.7  19  4 1 0

Cell and atoms:
Cell: 7.603 5.333 7.522 Å, 90.00 99.42 90.00°
Space group P2_1/c (No. 14)
Inequivalent atoms, fractional coordinates:
Lu: 0.153 0.234 0.373 [4 per cell]
Sb: 0.334 0.740 0.191 [4 per cell]
O: 0.105 0.549 0.186 [4 per cell]
O: 0.190 0.037 0.112 [4 per cell]
O: 0.323 0.611 0.938 [4 per cell]
O: 0.430 0.091 0.805 [4 per cell]